(1)
GaCuAu: theoretical powder diffractogram (λ = 1.5418 Å (Cu Kα)), based on a structure optimized by DFT (PBE).

a b c (Å): 5.278 4.527 4.527
angles (deg): 89.86 90.00 90.00
Fractional coordinates of all 6 atoms:
Ga: 0.250 0.250 0.750
Ga: 0.750 0.750 0.250
Cu: 0.000 0.250 0.250
Cu: 0.500 0.250 0.250
Au: 0.250 0.750 0.250
Au: 0.750 0.250 0.750

Main lines, sorted by position (10 to 80 degrees two-theta):
| Position (°2θ) | d_spacing | I (rel.) |
| --- | --- | --- |
| 19.61 | 4.527 | 18 |
| 25.93 | 3.436 | 55 |
| 27.87 | 3.201 | 61 |
| 33.97 | 2.639 | 19 |
| 39.82 | 2.264 | 69 |
| 44.49 | 2.036 | 100 |
| 48.14 | 1.890 | 22 |
| 53.32 | 1.718 | 21 |
| 57.51 | 1.603 | 12 |
| 57.66 | 1.599 | 11 |
| 75.51 | 1.259 | 21 |
| 75.61 | 1.258 | 21 |

(2)
LiTlAg4: theoretical powder diffractogram (λ = 1.5418 Å (Cu Kα)), based on a structure optimized by DFT (PBE).

a b c (Å): 4.825 5.252 5.252
angles (deg): 122.03 90.00 90.00
Fractional coordinates of all 6 atoms:
Li: 0.000 0.000 0.000
Tl: 0.500 0.641 0.641
Ag: 0.000 0.303 0.649
Ag: 0.000 0.649 0.303
Ag: 0.500 0.301 0.970
Ag: 0.500 0.970 0.301

Main lines, sorted by position (10 to 80 degrees two-theta):
| Position (°2θ) | d_spacing | I (rel.) |
| --- | --- | --- |
| 18.39 | 4.825 | 18 |
| 19.94 | 4.453 | 20 |
| 26.80 | 3.327 | 18 |
| 34.17 | 2.624 | 28 |
| 35.26 | 2.545 | 15 |
| 37.27 | 2.412 | 37 |
| 39.07 | 2.305 | 100 |
| 40.05 | 2.251 | 44 |
| 51.45 | 1.776 | 17 |
| 62.58 | 1.484 | 15 |
| 68.42 | 1.371 | 18 |
| 75.15 | 1.264 | 18 |

(3)
In5Sn4Pb: theoretical powder diffractogram (λ = 1.5418 Å (Cu Kα)), based on a structure optimized by DFT (PBE).

a b c (Å): 3.941 3.941 17.775
angles (deg): 90.00 90.00 90.00
Fractional coordinates of all 10 atoms:
In: 0.000 0.000 0.000
In: 0.000 0.000 0.197
In: 0.000 0.000 0.392
In: 0.000 0.000 0.608
In: 0.000 0.000 0.803
Sn: 0.500 0.500 0.098
Sn: 0.500 0.500 0.296
Sn: 0.500 0.500 0.704
Sn: 0.500 0.500 0.902
Pb: 0.500 0.500 0.500

Main lines, sorted by position (10 to 80 degrees two-theta):
| Position (°2θ) | d_spacing | I (rel.) |
| --- | --- | --- |
| 24.71 | 3.603 | 1 |
| 30.31 | 2.949 | 2 |
| 32.12 | 2.787 | 59 |
| 33.96 | 2.640 | 100 |
| 46.06 | 1.971 | 22 |
| 51.41 | 1.777 | 7 |
| 58.44 | 1.579 | 42 |
| 61.92 | 1.499 | 17 |
| 67.17 | 1.394 | 8 |
| 71.47 | 1.320 | 11 |
| 76.42 | 1.246 | 10 |
| 77.45 | 1.232 | 9 |

(4)
Tb3TmCo2: theoretical powder diffractogram (λ = 1.5418 Å (Cu Kα)), based on a structure optimized by DFT (PBE).

a b c (Å): 8.124 8.124 8.124
angles (deg): 132.61 71.64 129.63
Fractional coordinates of all 12 atoms:
Tb: 0.016 0.750 0.266
Tb: 0.250 0.250 0.000
Tb: 0.484 0.750 0.734
Tb: 0.516 0.250 0.266
Tb: 0.750 0.750 0.000
Tb: 0.984 0.250 0.734
Tm: 0.000 0.500 0.500
Tm: 0.500 0.000 0.500
Co: 0.136 0.221 0.356
Co: 0.364 0.721 0.085
Co: 0.636 0.279 0.915
Co: 0.864 0.779 0.644

Main lines, sorted by position (10 to 80 degrees two-theta):
| Position (°2θ) | d_spacing | I (rel.) |
| --- | --- | --- |
| 27.07 | 3.294 | 60 |
| 27.32 | 3.265 | 66 |
| 29.17 | 3.061 | 37 |
| 30.03 | 2.976 | 58 |
| 35.81 | 2.508 | 91 |
| 37.73 | 2.385 | 33 |
| 37.91 | 2.373 | 36 |
| 38.84 | 2.319 | 100 |
| 40.39 | 2.233 | 38 |
| 52.98 | 1.728 | 23 |
| 57.51 | 1.602 | 32 |
| 67.60 | 1.386 | 39 |